[1]
# Te4MoW3Se4
Computed powder diffractogram, a wavelength of 1.5418 Å. Input: a GGA-PBE-relaxed structure.
Neutral-atom scattering factors, no anomalous dispersion.

Principal peaks in the range 2θ = 10–90°, most intense first:
- 11.3°, I = 100, hkl 0 0 5
- 35.3°, I = 84, hkl 1 0 8
- 42.7°, I = 54, hkl 1 0 13
- 30.0°, I = 45, hkl 1 0 0
- 53.3°, I = 35, hkl 1 1 0
- 44.4°, I = 18, hkl 0 1 14
- 36.5°, I = 18, hkl 1 0 9
- 13.6°, I = 16, hkl 0 0 6

Cell and atoms:
abc: 3.4392 3.4392 39.2083
angles: 90.00 90.00 120.00
Space group P3m1 (No. 156)
One atom of each set of equivalent atoms:
Te 0.0000 0.0000 0.0000 x1
Te 0.0000 0.0000 0.0951 x1
Te 0.3333 0.6667 0.1879 x1
Te 0.3333 0.6667 0.2831 x1
Mo 0.0000 0.0000 0.8597 x1
W 0.0000 0.0000 0.2355 x1
W 0.3333 0.6667 0.0476 x1
W 0.3333 0.6667 0.4234 x1
Se 0.0000 0.0000 0.3815 x1
Se 0.0000 0.0000 0.4652 x1
Se 0.3333 0.6667 0.8180 x1
Se 0.3333 0.6667 0.9015 x1

***

[2]
# Te3MoWSe
Computed powder diffractogram, a wavelength of 1.5418 Å. Input: a GGA-PBE-relaxed structure.
Neutral-atom scattering factors, no anomalous dispersion.

Principal peaks in the range 2θ = 10–90°, most intense first:
- 11.2°, I = 100, hkl 0 0 5
- 34.7°, I = 99, hkl 0 1 8
- 42.0°, I = 65, hkl 1 0 13
- 29.5°, I = 57, hkl 1 0 0
- 52.3°, I = 44, hkl 1 1 0
- 43.8°, I = 23, hkl 0 1 14
- 36.0°, I = 21, hkl 0 1 9
- 73.8°, I = 20, hkl 1 1 21

Cell and atoms:
abc: 3.5004 3.5004 39.6301
angles: 90.00 90.00 120.00
Space group P3m1 (No. 156)
One atom of each set of equivalent atoms:
Te 0.0000 0.0000 0.0000 x1
Te 0.0000 0.0000 0.0924 x1
Te 0.0000 0.0000 0.6240 x1
Te 0.0000 0.0000 0.7169 x1
Te 0.3333 0.6667 0.8119 x1
Te 0.3333 0.6667 0.9048 x1
Mo 0.0000 0.0000 0.4826 x1
Mo 0.3333 0.6667 0.0462 x1
W 0.0000 0.0000 0.8583 x1
W 0.3333 0.6667 0.6704 x1
Se 0.3333 0.6667 0.4418 x1
Se 0.3333 0.6667 0.5234 x1

***

[3]
# TeMoWSe3
Computed powder diffractogram, a wavelength of 1.5418 Å. Input: a GGA-PBE-relaxed structure.
Neutral-atom scattering factors, no anomalous dispersion.

Principal peaks in the range 2θ = 10–90°, most intense first:
- 11.5°, I = 100, hkl 0 0 5
- 35.9°, I = 83, hkl 1 0 8
- 43.5°, I = 53, hkl 1 0 13
- 30.6°, I = 44, hkl 1 0 0
- 54.3°, I = 30, hkl 1 1 0
- 13.8°, I = 19, hkl 0 0 6
- 45.3°, I = 18, hkl 1 0 14
- 32.7°, I = 15, hkl 1 0 5

Cell and atoms:
abc: 3.3790 3.3790 38.4397
angles: 90.00 90.00 120.00
Space group P3m1 (No. 156)
One atom of each set of equivalent atoms:
Te 0.0000 0.0000 0.0000 x1
Te 0.0000 0.0000 0.0977 x1
Mo 0.6667 0.3333 0.0488 x1
Mo 0.6667 0.3333 0.4246 x1
W 0.0000 0.0000 0.2368 x1
W 0.0000 0.0000 0.6125 x1
Se 0.0000 0.0000 0.3816 x1
Se 0.0000 0.0000 0.4676 x1
Se 0.6667 0.3333 0.1936 x1
Se 0.6667 0.3333 0.2800 x1
Se 0.6667 0.3333 0.5693 x1
Se 0.6667 0.3333 0.6557 x1

***

[4]
# TeMoWSe3
Computed powder diffractogram, a wavelength of 1.5418 Å. Input: a GGA-PBE-relaxed structure.
Neutral-atom scattering factors, no anomalous dispersion.

Principal peaks in the range 2θ = 10–90°, most intense first:
- 11.5°, I = 100, hkl 0 0 5
- 35.9°, I = 80, hkl 0 1 8
- 43.4°, I = 53, hkl 1 0 13
- 30.5°, I = 41, hkl 1 0 0
- 54.3°, I = 30, hkl 1 1 0
- 45.2°, I = 18, hkl 1 0 14
- 13.8°, I = 18, hkl 0 0 6
- 32.7°, I = 16, hkl 1 0 5

Cell and atoms:
abc: 3.3820 3.3820 38.5894
angles: 90.00 90.00 120.00
Space group P3m1 (No. 156)
One atom of each set of equivalent atoms:
Te 0.0000 0.0000 0.0000 x1
Te 0.0000 0.0000 0.0979 x1
Mo 0.0000 0.0000 0.4854 x1
Mo 0.0000 0.0000 0.8611 x1
W 0.3333 0.6667 0.0490 x1
W 0.3333 0.6667 0.6732 x1
Se 0.0000 0.0000 0.6302 x1
Se 0.0000 0.0000 0.7162 x1
Se 0.3333 0.6667 0.4425 x1
Se 0.3333 0.6667 0.5282 x1
Se 0.3333 0.6667 0.8182 x1
Se 0.3333 0.6667 0.9040 x1

***

[5]
# Te3MoWSe
Computed powder diffractogram, a wavelength of 1.5418 Å. Input: a GGA-PBE-relaxed structure.
Neutral-atom scattering factors, no anomalous dispersion.

Principal peaks in the range 2θ = 10–90°, most intense first:
- 34.7°, I = 100, hkl 1 0 8
- 11.2°, I = 95, hkl 0 0 5
- 42.0°, I = 64, hkl 0 1 13
- 29.5°, I = 51, hkl 1 0 0
- 52.4°, I = 39, hkl 1 1 0
- 73.9°, I = 19, hkl 1 1 21
- 43.8°, I = 18, hkl 1 0 14
- 64.4°, I = 16, hkl 0 2 8

Cell and atoms:
abc: 3.4955 3.4955 39.6621
angles: 90.00 90.00 120.00
Space group P3m1 (No. 156)
One atom of each set of equivalent atoms:
Te 0.0000 0.0000 0.0000 x1
Te 0.0000 0.0000 0.0925 x1
Te 0.0000 0.0000 0.3755 x1
Te 0.0000 0.0000 0.4685 x1
Te 0.3333 0.6667 0.1879 x1
Te 0.3333 0.6667 0.2803 x1
Mo 0.0000 0.0000 0.2341 x1
Mo 0.3333 0.6667 0.0462 x1
W 0.0000 0.0000 0.8584 x1
W 0.3333 0.6667 0.4220 x1
Se 0.3333 0.6667 0.8174 x1
Se 0.3333 0.6667 0.8993 x1

***

[6]
# TeMoWSe3
Computed powder diffractogram, a wavelength of 1.5418 Å. Input: a GGA-PBE-relaxed structure.
Neutral-atom scattering factors, no anomalous dispersion.

Principal peaks in the range 2θ = 10–90°, most intense first:
- 11.5°, I = 100, hkl 0 0 5
- 35.9°, I = 81, hkl 1 0 8
- 43.5°, I = 52, hkl 1 0 13
- 30.6°, I = 41, hkl 1 0 0
- 54.3°, I = 30, hkl 1 1 0
- 13.8°, I = 22, hkl 0 0 6
- 45.3°, I = 18, hkl 1 0 14
- 76.7°, I = 14, hkl 1 1 21

Cell and atoms:
abc: 3.3793 3.3793 38.4622
angles: 90.00 90.00 120.00
Space group P3m1 (No. 156)
One atom of each set of equivalent atoms:
Te 0.0000 0.0000 0.0000 x1
Te 0.0000 0.0000 0.0978 x1
Mo 0.0000 0.0000 0.2368 x1
Mo 0.6667 0.3333 0.0489 x1
W 0.0000 0.0000 0.6125 x1
W 0.6667 0.3333 0.4246 x1
Se 0.0000 0.0000 0.3814 x1
Se 0.0000 0.0000 0.4678 x1
Se 0.6667 0.3333 0.1937 x1
Se 0.6667 0.3333 0.2798 x1
Se 0.6667 0.3333 0.5693 x1
Se 0.6667 0.3333 0.6557 x1

***

[7]
# Te2MoWSe2
Computed powder diffractogram, a wavelength of 1.5418 Å. Input: a GGA-PBE-relaxed structure.
Neutral-atom scattering factors, no anomalous dispersion.

Principal peaks in the range 2θ = 10–90°, most intense first:
- 11.3°, I = 100, hkl 0 0 5
- 35.3°, I = 96, hkl 1 0 8
- 42.7°, I = 61, hkl 0 1 13
- 30.1°, I = 52, hkl 1 0 0
- 53.3°, I = 37, hkl 1 1 0
- 75.2°, I = 17, hkl 1 1 21
- 44.5°, I = 17, hkl 1 0 14
- 65.6°, I = 16, hkl 0 2 8

Cell and atoms:
abc: 3.4357 3.4357 39.1477
angles: 90.00 90.00 120.00
Space group P-3m1 (No. 164)
One atom of each set of equivalent atoms:
Te 0.3333 0.6667 0.3586 x2
Te 0.3333 0.6667 0.4535 x2
Mo 0.3333 0.6667 0.5940 x2
W 0.3333 0.6667 0.2182 x2
Se 0.3333 0.6667 0.7398 x2
Se 0.3333 0.6667 0.8238 x2

***

[8]
# TeMoWSe3
Computed powder diffractogram, a wavelength of 1.5418 Å. Input: a GGA-PBE-relaxed structure.
Neutral-atom scattering factors, no anomalous dispersion.

Principal peaks in the range 2θ = 10–90°, most intense first:
- 11.5°, I = 100, hkl 0 0 5
- 35.9°, I = 83, hkl 1 0 8
- 43.4°, I = 53, hkl 1 0 13
- 30.5°, I = 43, hkl 1 0 0
- 54.2°, I = 33, hkl 1 1 0
- 45.2°, I = 17, hkl 1 0 14
- 13.8°, I = 15, hkl 0 0 6
- 37.2°, I = 14, hkl 1 0 9

Cell and atoms:
abc: 3.3832 3.3832 38.4990
angles: 90.00 90.00 120.00
Space group P3m1 (No. 156)
One atom of each set of equivalent atoms:
Te 0.0000 0.0000 0.0000 x1
Te 0.0000 0.0000 0.0982 x1
Mo 0.0000 0.0000 0.8612 x1
Mo 0.6667 0.3333 0.6733 x1
W 0.0000 0.0000 0.2370 x1
W 0.6667 0.3333 0.0491 x1
Se 0.0000 0.0000 0.6304 x1
Se 0.0000 0.0000 0.7163 x1
Se 0.6667 0.3333 0.1938 x1
Se 0.6667 0.3333 0.2801 x1
Se 0.6667 0.3333 0.8182 x1
Se 0.6667 0.3333 0.9042 x1